1.
TmAl3Fe3: simulated powder X-ray diffraction pattern (Cu Kα), based on a cell relaxed with PBE.

Crystal structure
```
data_TmAl3Fe3
_cell_length_a 6.439
_cell_length_b 6.439
_cell_length_c 6.439
_cell_angle_alpha 90.00
_cell_angle_beta 90.00
_cell_angle_gamma 90.00
_space_group_name_H-M_alt 'P m -3 n'
_space_group_IT_number 223
_space_group_name_Hall '-P 4n 2 3'
loop_
_atom_site_label
_atom_site_fract_x
_atom_site_fract_y
_atom_site_fract_z
Tm1 0.000 0.000 0.000
Al1 0.000 0.250 0.500
Fe1 0.000 0.500 0.250
```

Largest 8 diffraction maxima, most intense first, 2θ from 5° to 70°:
h k l	2θ (°)	I/Imax
2 1 1	34.11	100
3 2 1	53.23	55
2 0 0	27.71	43
1 1 0	19.50	19
4 0 0	57.23	15
4 2 0	64.74	15
3 3 2	68.33	13
2 1 0	31.06	8

2.
Nd3P2PdRh9: simulated powder X-ray diffraction pattern (Cu Kα), based on a cell relaxed with PBE.

Crystal structure
```
data_Nd3P2PdRh9
_cell_length_a 6.0122
_cell_length_b 6.0122
_cell_length_c 9.1800
_cell_angle_alpha 90.00
_cell_angle_beta 90.00
_cell_angle_gamma 120.00
_space_group_name_H-M_alt 'P -3 m 1'
_space_group_IT_number 164
_space_group_name_Hall '-P 3 2"'
loop_
_atom_site_label
_atom_site_fract_x
_atom_site_fract_y
_atom_site_fract_z
Nd1 0.0000 0.0000 0.0000
Nd2 0.3333 0.6667 0.6429
P1 0.3333 0.6667 0.1597
Pd1 0.0000 0.0000 0.5000
Rh1 0.0000 0.5000 0.0000
Rh2 0.1524 0.3048 0.2778
```

Largest 8 diffraction maxima, most intense first, 2θ from 5° to 70°:
h k l	2θ (°)	I/Imax
2 0 2	39.81	100
0 2 1	35.85	89
2 2 0	61.72	29
0 0 3	29.18	28
0 2 4	53.21	20
0 1 2	25.88	18
1 0 4	43.07	14
2 2 3	69.70	13

3.
LaNd6Hg2: simulated powder X-ray diffraction pattern (Cu Kα), based on a cell relaxed with PBE.

Crystal structure
```
data_LaNd6Hg2
_cell_length_a 13.052
_cell_length_b 3.842
_cell_length_c 12.353
_cell_angle_alpha 90.00
_cell_angle_beta 108.41
_cell_angle_gamma 90.00
_space_group_name_H-M_alt 'C 1 2/m 1'
_space_group_IT_number 12
_space_group_name_Hall '-C 2y'
loop_
_atom_site_label
_atom_site_fract_x
_atom_site_fract_y
_atom_site_fract_z
La1 0.000 0.000 0.000
Nd1 0.020 0.000 0.338
Nd2 0.186 0.500 0.875
Nd3 0.188 0.500 0.587
Hg1 0.147 0.500 0.208
```

Largest 8 diffraction maxima, most intense first, 2θ from 5° to 70°:
h k l	2θ (°)	I/Imax
1 1 -3	31.84	100
4 0 -3	30.67	50
5 1 -6	55.26	27
4 2 -3	57.46	18
0 2 0	47.32	9
6 0 0	43.86	9
2 0 -6	43.98	8
4 0 1	32.19	5

4.
NpPd2Pt8: simulated powder X-ray diffraction pattern (Cu Kα), based on a cell relaxed with PBE.

Crystal structure
```
data_NpPd2Pt8
_cell_length_a 3.898
_cell_length_b 7.912
_cell_length_c 12.270
_cell_angle_alpha 90.00
_cell_angle_beta 90.00
_cell_angle_gamma 90.00
_space_group_name_H-M_alt 'I m m m'
_space_group_IT_number 71
_space_group_name_Hall '-I 2 2'
loop_
_atom_site_label
_atom_site_fract_x
_atom_site_fract_y
_atom_site_fract_z
Np1 0.000 0.000 0.000
Pd1 0.000 0.000 0.336
Pt1 0.000 0.231 0.500
Pt2 0.000 0.252 0.166
Pt3 0.000 0.500 0.334
```

Largest 8 diffraction maxima, most intense first, 2θ from 5° to 70°:
h k l	2θ (°)	I/Imax
1 2 3	39.22	100
0 0 6	44.29	18
2 0 0	46.60	16
0 4 0	45.88	16
0 1 1	13.32	11
2 0 6	66.24	11
0 4 6	65.67	11
2 4 0	67.46	10

5.
MgZr2C: simulated powder X-ray diffraction pattern (Cu Kα), based on a cell relaxed with PBE.

Crystal structure
```
data_MgZr2C
_cell_length_a 5.791
_cell_length_b 3.338
_cell_length_c 8.162
_cell_angle_alpha 90.00
_cell_angle_beta 102.73
_cell_angle_gamma 90.00
_space_group_name_H-M_alt 'C 1 m 1'
_space_group_IT_number 8
_space_group_name_Hall 'C -2y'
loop_
_atom_site_label
_atom_site_fract_x
_atom_site_fract_y
_atom_site_fract_z
Mg1 0.000 0.000 0.000
Zr1 0.214 0.000 0.657
Zr2 0.450 0.000 0.344
C1 0.332 0.500 0.499
```

Largest 8 diffraction maxima, most intense first, 2θ from 5° to 70°:
h k l	2θ (°)	I/Imax
0 0 1	11.11	100
1 1 1	34.35	55
1 1 -2	36.46	52
2 0 -1	31.15	45
0 0 3	33.77	33
0 2 0	54.98	30
2 0 -2	34.66	26
2 0 1	36.01	25